[1]
NaTmO2: calculated powder X-ray diffraction pattern (Cu Kα X-rays), based on a cell relaxed with GGA-PBE.

Main lines, sorted by position (10° ≤ 2θ ≤ 90°):
- 21.33 deg, d 4.165, I 98
- 32.82 deg, d 2.729, I 100
- 35.07 deg, d 2.558, I 29
- 39.52 deg, d 2.280, I 45
- 45.34 deg, d 2.000, I 27
- 53.86 deg, d 1.702, I 33
- 61.51 deg, d 1.508, I 16
- 67.48 deg, d 1.388, I 24

Structural model:
```
NaTmO2
1.0
4.560 0.000 0.000
0.000 4.560 0.000
0.000 0.000 10.234
Na Tm O
4 4 8
Cartesian
0.000 1.140 3.838
0.000 3.420 6.396
2.280 1.140 1.279
2.280 3.420 8.954
0.000 1.140 8.954
0.000 3.420 1.279
2.280 1.140 6.396
2.280 3.420 3.838
0.000 1.140 0.970
0.000 1.140 6.705
0.000 3.420 3.528
0.000 3.420 9.264
2.280 1.140 4.147
2.280 1.140 8.645
2.280 3.420 1.589
2.280 3.420 6.087
```

***

[2]
Mn3CoP4: calculated powder X-ray diffraction pattern (Cu Kα X-rays), based on a cell relaxed with GGA-PBE.

Main lines, sorted by position (10° ≤ 2θ ≤ 90°):
- 32.55 deg, d 2.751, I 100
- 37.05 deg, d 2.427, I 51
- 46.03 deg, d 1.972, I 35
- 46.14 deg, d 1.967, I 37
- 46.92 deg, d 1.937, I 35
- 48.34 deg, d 1.883, I 70
- 48.44 deg, d 1.879, I 70
- 55.67 deg, d 1.651, I 54

Structural model:
```
Mn3CoP4
1.0
5.156 0.000 0.000
0.000 3.118 0.000
-0.025 0.000 5.839
Mn Co P
3 1 4
Cartesian
0.000 0.000 0.000
0.012 1.559 2.319
2.594 1.559 2.844
2.561 0.000 5.210
0.981 1.559 4.468
1.618 0.000 1.519
3.554 1.559 0.702
4.204 0.000 3.688
```

***

[3]
TmMg3: calculated powder X-ray diffraction pattern (Cu Kα X-rays), based on a cell relaxed with GGA-PBE.

Main lines, sorted by position (10° ≤ 2θ ≤ 90°):
- 15.44 deg, d 5.740, I 39
- 23.15 deg, d 3.843, I 100
- 26.91 deg, d 3.314, I 46
- 31.17 deg, d 2.870, I 24
- 34.68 deg, d 2.587, I 24
- 35.78 deg, d 2.509, I 97
- 44.43 deg, d 2.039, I 24
- 45.33 deg, d 2.001, I 33

Structural model:
```
TmMg3
1.0
6.627 0.000 0.000
-3.314 5.740 0.000
0.000 0.000 5.173
Tm Mg
2 6
Cartesian
0.000 3.826 1.293
3.314 1.913 3.880
0.000 1.882 3.880
-1.684 4.799 3.880
1.630 0.941 1.293
1.684 4.799 3.880
4.998 0.941 1.293
3.314 3.858 1.293
```

***

[4]
DyZn20Rh2: calculated powder X-ray diffraction pattern (Cu Kα X-rays), based on a cell relaxed with GGA-PBE.

Main lines, sorted by position (10° ≤ 2θ ≤ 90°):
- 35.05 deg, d 2.560, I 26
- 36.72 deg, d 2.448, I 93
- 39.35 deg, d 2.290, I 52
- 40.87 deg, d 2.208, I 96
- 41.36 deg, d 2.183, I 100
- 44.69 deg, d 2.028, I 29
- 53.71 deg, d 1.707, I 30
- 74.07 deg, d 1.280, I 52

Structural model:
```
DyZn20Rh2
1.0
0.000 7.240 7.240
7.240 0.000 7.240
7.240 7.240 0.000
Dy Zn Rh
2 40 4
Cartesian
1.810 1.810 1.810
12.670 12.670 12.670
0.000 0.000 0.000
3.620 3.620 0.000
3.620 0.000 3.620
4.689 2.754 2.754
8.106 6.171 2.754
8.106 2.754 6.171
9.791 6.375 6.375
11.726 8.309 6.375
11.726 6.375 8.309
5.430 5.430 3.433
5.430 3.433 5.430
7.428 5.430 5.430
2.754 4.689 2.754
6.171 8.106 2.754
2.754 2.754 4.689
8.106 8.106 4.689
6.171 2.754 8.106
8.106 4.689 8.106
9.050 9.050 7.053
9.050 7.053 9.050
11.048 9.050 9.050
0.000 3.620 3.620
3.433 5.430 5.430
5.430 7.428 5.430
5.430 5.430 7.428
6.375 9.791 6.375
8.309 11.726 6.375
6.375 6.375 9.791
11.726 11.726 9.791
8.309 6.375 11.726
11.726 9.791 11.726
7.053 9.050 9.050
9.050 11.048 9.050
9.050 9.050 11.048
2.754 8.106 6.171
2.754 6.171 8.106
4.689 8.106 8.106
6.375 11.726 8.309
6.375 8.309 11.726
9.791 11.726 11.726
7.240 3.620 3.620
3.620 7.240 3.620
3.620 3.620 7.240
7.240 7.240 7.240
```

***

[5]
HfSb3: calculated powder X-ray diffraction pattern (Cu Kα X-rays), based on a cell relaxed with GGA-PBE.

Main lines, sorted by position (10° ≤ 2θ ≤ 90°):
- 31.80 deg, d 2.814, I 23
- 32.41 deg, d 2.762, I 30
- 35.82 deg, d 2.507, I 100
- 46.05 deg, d 1.971, I 16
- 56.66 deg, d 1.624, I 17
- 60.04 deg, d 1.541, I 22
- 66.81 deg, d 1.400, I 20
- 68.87 deg, d 1.363, I 14

Structural model:
```
HfSb3
1.0
6.498 0.000 0.000
-3.249 5.627 0.000
0.000 0.000 5.524
Hf Sb
2 6
Cartesian
0.000 3.752 1.381
3.249 1.876 4.143
0.000 1.997 4.143
-1.520 4.629 4.143
1.729 0.998 1.381
1.520 4.629 4.143
4.769 0.998 1.381
3.249 3.631 1.381
```

***

[6]
Cu2GeTe3: calculated powder X-ray diffraction pattern (Cu Kα X-rays), based on a cell relaxed with GGA-PBE.

Main lines, sorted by position (10° ≤ 2θ ≤ 90°):
- 25.37 deg, d 3.511, I 85
- 25.51 deg, d 3.492, I 85
- 41.84 deg, d 2.159, I 21
- 42.21 deg, d 2.141, I 100
- 49.64 deg, d 1.837, I 26
- 49.87 deg, d 1.828, I 26
- 50.13 deg, d 1.820, I 19
- 77.14 deg, d 1.236, I 15

Structural model:
```
Cu2GeTe3
1.0
7.395 0.000 0.000
-0.016 8.637 0.000
-0.042 -4.314 10.476
Cu Ge Te
8 4 12
Cartesian
0.000 0.000 0.000
0.009 4.320 0.032
1.194 6.465 3.590
2.407 0.009 7.035
2.440 4.333 7.037
3.729 2.156 0.008
4.986 4.328 3.586
6.166 2.207 7.035
1.182 2.219 3.622
3.671 2.185 10.444
4.931 0.006 3.557
6.201 -2.224 7.052
0.082 -0.077 2.569
1.248 2.178 6.293
1.327 -2.159 6.171
2.373 4.387 9.616
2.400 -0.050 9.625
3.640 6.358 2.731
3.750 2.289 2.593
4.852 4.276 6.149
4.871 0.089 6.277
6.165 -2.138 9.727
6.235 2.153 9.630
7.369 4.382 2.606
```

***

[7]
SmAsSe: calculated powder X-ray diffraction pattern (Cu Kα X-rays), based on a cell relaxed with GGA-PBE.

Main lines, sorted by position (10° ≤ 2θ ≤ 90°):
- 24.52 deg, d 3.630, I 53
- 29.76 deg, d 3.002, I 43
- 31.91 deg, d 2.805, I 38
- 33.46 deg, d 2.678, I 74
- 37.57 deg, d 2.394, I 75
- 37.79 deg, d 2.381, I 100
- 45.75 deg, d 1.983, I 57
- 60.64 deg, d 1.527, I 37

Structural model:
```
SmAsSe
1.0
3.966 0.000 0.000
0.000 3.966 0.000
0.000 0.000 9.007
Sm As Se
2 2 2
Cartesian
0.992 0.992 2.008
2.975 2.975 6.998
0.992 2.975 4.503
2.975 0.992 4.503
0.992 0.992 7.883
2.975 2.975 1.123
```

***

[8]
CeSe2: calculated powder X-ray diffraction pattern (Cu Kα X-rays), based on a cell relaxed with GGA-PBE.

Main lines, sorted by position (10° ≤ 2θ ≤ 90°):
- 13.88 deg, d 6.381, I 82
- 18.45 deg, d 4.808, I 99
- 27.37 deg, d 3.259, I 44
- 28.64 deg, d 3.117, I 47
- 35.02 deg, d 2.562, I 100
- 35.24 deg, d 2.547, I 87
- 38.41 deg, d 2.343, I 68
- 44.39 deg, d 2.041, I 78

Structural model:
```
CeSe2
1.0
7.493 0.000 0.000
0.000 7.315 0.000
-4.422 0.000 7.181
Ce Se
4 8
Cartesian
0.000 0.536 0.000
-2.211 6.778 3.590
-0.199 3.091 3.590
-2.410 4.224 7.180
-2.277 1.807 5.422
-0.066 5.508 1.832
1.713 2.024 1.759
-0.498 5.290 5.349
1.452 1.668 5.270
3.663 5.646 1.679
5.579 1.673 1.799
3.368 5.641 5.390
```

***

[9]
TbEu2SbO6: calculated powder X-ray diffraction pattern (Cu Kα X-rays), based on a cell relaxed with GGA-PBE.

Main lines, sorted by position (10° ≤ 2θ ≤ 90°):
- 30.11 deg, d 2.968, I 100
- 37.10 deg, d 2.423, I 1
- 43.10 deg, d 2.099, I 26
- 53.47 deg, d 1.714, I 43
- 62.60 deg, d 1.484, I 16
- 71.02 deg, d 1.327, I 18
- 79.03 deg, d 1.212, I 5
- 86.82 deg, d 1.122, I 23

Structural model:
```
TbEu2SbO6
1.0
8.395 0.000 0.000
0.000 8.395 0.000
0.000 0.000 8.395
Tb Eu Sb O
4 8 4 24
Cartesian
0.000 0.000 0.000
0.000 4.197 4.197
4.197 0.000 4.197
4.197 4.197 0.000
2.099 2.099 2.099
2.099 2.099 6.296
2.099 6.296 2.099
2.099 6.296 6.296
6.296 2.099 2.099
6.296 2.099 6.296
6.296 6.296 2.099
6.296 6.296 6.296
0.000 0.000 4.197
0.000 4.197 0.000
4.197 0.000 0.000
4.197 4.197 4.197
0.283 4.535 6.421
0.283 8.057 6.170
0.337 1.973 4.480
0.337 2.224 8.112
1.973 4.480 0.337
1.973 8.112 3.860
2.224 4.480 3.860
2.224 8.112 0.337
3.860 1.973 8.112
3.860 2.224 4.480
3.914 4.535 6.170
3.914 8.057 6.421
4.480 0.337 1.973
4.480 3.860 2.224
4.535 6.170 3.914
4.535 6.421 0.283
6.170 0.283 8.057
6.170 3.914 4.535
6.421 0.283 4.535
6.421 3.914 8.057
8.057 6.170 0.283
8.057 6.421 3.914
8.112 0.337 2.224
8.112 3.860 1.973
```

***

[10]
PrZnPO: calculated powder X-ray diffraction pattern (Cu Kα X-rays), based on a cell relaxed with GGA-PBE.

Main lines, sorted by position (10° ≤ 2θ ≤ 90°):
- 28.01 deg, d 3.186, I 100
- 29.30 deg, d 3.048, I 81
- 32.53 deg, d 2.752, I 27
- 34.26 deg, d 2.617, I 33
- 38.59 deg, d 2.333, I 47
- 45.05 deg, d 2.012, I 79
- 53.58 deg, d 1.710, I 24
- 57.80 deg, d 1.595, I 47

Structural model:
```
PrZnPO
1.0
2.012 1.162 10.469
-2.012 1.162 10.469
0.000 -2.324 10.469
Pr Zn P O
2 2 2 2
Cartesian
0.000 0.000 3.717
0.000 0.000 27.689
0.000 0.000 9.546
0.000 0.000 21.860
0.000 0.000 12.101
0.000 0.000 19.306
0.000 0.000 6.124
0.000 0.000 25.282
```

***

[11]
Ti11O14: calculated powder X-ray diffraction pattern (Cu Kα X-rays), based on a cell relaxed with GGA-PBE.

Main lines, sorted by position (10° ≤ 2θ ≤ 90°):
- 22.50 deg, d 3.952, I 15
- 25.17 deg, d 3.538, I 20
- 37.22 deg, d 2.415, I 37
- 43.15 deg, d 2.096, I 100
- 43.57 deg, d 2.077, I 50
- 62.73 deg, d 1.481, I 14
- 62.88 deg, d 1.478, I 27
- 63.11 deg, d 1.473, I 27

Structural model:
```
Ti11O14
1.0
2.545 -10.386 0.000
2.545 10.386 0.000
-1.666 0.000 4.834
Ti O
11 14
Cartesian
0.000 0.000 0.000
1.712 8.859 2.417
1.712 6.048 2.417
2.545 4.496 0.000
1.712 2.833 2.417
2.545 1.455 0.000
2.545 -1.455 0.000
1.712 -2.833 2.417
2.545 -4.496 0.000
1.712 -6.048 2.417
1.712 -8.859 2.417
0.884 4.434 1.259
0.007 2.944 3.695
0.845 1.457 1.201
0.034 0.000 3.582
0.845 -1.457 1.201
0.007 -2.944 3.695
0.884 -4.434 1.259
2.540 4.434 3.575
3.418 2.944 1.139
2.579 1.457 3.634
3.391 0.000 1.253
2.579 -1.457 3.634
3.418 -2.944 1.139
2.540 -4.434 3.575
```